[1]
Diffraction record for Ba2AlCu3O8. The X-ray powder pattern is theoretical, not measured: it uses a crystal structure in Alexandria, relaxed with GGA-PBE and Cu Kα, 1.54184 Å.
Kinematic intensities with the Lorentz-polarization factor, no thermal factor.

Structural model:
Lattice parameters (Å, degrees): 3.814 3.814 11.615 90.00 90.00 90.00
Atoms (fractional coordinates):
Ba (0.000, 0.000, 0.173)
Ba (0.000, 0.000, 0.827)
Al (0.000, 0.000, 0.500)
Cu (0.500, 0.500, 0.000)
Cu (0.500, 0.500, 0.356)
Cu (0.500, 0.500, 0.644)
O (0.000, 0.500, 0.000)
O (0.000, 0.500, 0.397)
O (0.000, 0.500, 0.603)
O (0.500, 0.000, 0.000)
O (0.500, 0.000, 0.397)
O (0.500, 0.000, 0.603)
O (0.500, 0.500, 0.183)
O (0.500, 0.500, 0.817)

Most intense lines, 2θ from 15° to 90°, sorted by position:
2theta	I_rel
24.57	10
27.99	13
32.97	100
33.22	44
38.76	10
46.94	9
47.69	32
58.71	21
59.19	36
69.17	16
69.74	9
88.37	11


[2]
Diffraction record for Ba2AlCu3O7. The X-ray powder pattern is theoretical, not measured: it uses a crystal structure in Alexandria, relaxed with GGA-PBE and Cu Kα, 1.54184 Å.
Kinematic intensities with the Lorentz-polarization factor, no thermal factor.

Structural model:
Lattice parameters (Å, degrees): 3.697 3.841 11.821 90.00 90.00 90.00
Atoms (fractional coordinates):
Ba (0.000, 0.000, 0.185)
Ba (0.000, 0.000, 0.815)
Al (0.000, 0.000, 0.500)
Cu (0.500, 0.500, 0.000)
Cu (0.500, 0.500, 0.366)
Cu (0.500, 0.500, 0.634)
O (0.000, 0.500, 0.396)
O (0.000, 0.500, 0.604)
O (0.500, 0.000, 0.000)
O (0.500, 0.000, 0.396)
O (0.500, 0.000, 0.604)
O (0.500, 0.500, 0.160)
O (0.500, 0.500, 0.840)

Most intense lines, 2θ from 15° to 90°, sorted by position:
2theta	I_rel
27.70	25
28.48	33
32.55	90
33.23	100
33.64	99
38.06	33
47.33	34
49.29	30
51.70	22
58.25	31
59.05	37
60.32	31


[3]
Diffraction record for BaAlCu2O5. The X-ray powder pattern is theoretical, not measured: it uses a crystal structure in Alexandria, relaxed with GGA-PBE and Cu Kα, 1.54184 Å.
Kinematic intensities with the Lorentz-polarization factor, no thermal factor.

Structural model:
Lattice parameters (Å, degrees): 3.714 3.714 7.650 90.00 90.00 90.00
Atoms (fractional coordinates):
Ba (0.000, 0.000, 0.000)
Al (0.000, 0.000, 0.500)
Cu (0.500, 0.500, 0.278)
Cu (0.500, 0.500, 0.721)
O (0.000, 0.500, 0.342)
O (0.000, 0.500, 0.656)
O (0.500, 0.000, 0.342)
O (0.500, 0.000, 0.656)
O (0.500, 0.500, 0.999)

Most intense lines, 2θ from 15° to 90°, sorted by position:
2theta	I_rel
26.68	31
33.63	100
34.14	40
35.20	20
36.16	19
49.05	31
56.71	8
59.82	24
60.79	35
61.80	13
70.71	9
71.90	9


[4]
Diffraction record for BaAlCuP2. The X-ray powder pattern is theoretical, not measured: it uses a crystal structure in Alexandria, relaxed with GGA-PBE and Cu Kα, 1.54184 Å.
Kinematic intensities with the Lorentz-polarization factor, no thermal factor.

Structural model:
Lattice parameters (Å, degrees): 7.136 5.908 5.918 90.00 114.44 90.00
Atoms (fractional coordinates):
Ba (0.000, 0.248, 0.250)
Ba (0.000, 0.752, 0.750)
Al (0.500, 0.500, 0.250)
Al (0.500, 0.500, 0.750)
Cu (0.500, 0.000, 0.000)
Cu (0.500, 0.000, 0.500)
P (0.280, 0.285, 0.890)
P (0.280, 0.715, 0.390)
P (0.720, 0.285, 0.610)
P (0.720, 0.715, 0.110)

Most intense lines, 2θ from 15° to 90°, sorted by position:
2theta	I_rel
22.34	49
27.46	26
29.70	100
30.21	45
33.31	57
36.67	14
40.89	27
45.58	24
52.38	23
53.36	35
61.04	12
61.67	14


[5]
Diffraction record for BaAlCu2Te4. The X-ray powder pattern is theoretical, not measured: it uses a crystal structure in Alexandria, relaxed with GGA-PBE and Cu Kα, 1.54184 Å.
Kinematic intensities with the Lorentz-polarization factor, no thermal factor.

Structural model:
Lattice parameters (Å, degrees): 6.917 6.917 6.917 117.32 109.42 102.03
Atoms (fractional coordinates):
Ba (0.000, 0.000, 0.000)
Al (0.500, 0.500, 0.000)
Cu (0.351, 0.851, 0.500)
Cu (0.649, 0.149, 0.500)
Te (0.142, 0.112, 0.590)
Te (0.478, 0.888, 0.029)
Te (0.522, 0.551, 0.410)
Te (0.858, 0.449, 0.971)

Most intense lines, 2θ from 15° to 90°, sorted by position:
2theta	I_rel
15.98	17
26.41	100
27.51	65
30.37	18
32.29	20
32.84	27
33.52	59
41.69	14
44.60	23
44.98	29
48.42	22
53.18	39


[6]
Diffraction record for BaDy2Al3Zn6. The X-ray powder pattern is theoretical, not measured: it uses a crystal structure in Alexandria, relaxed with GGA-PBE and Cu Kα, 1.54184 Å.
Kinematic intensities with the Lorentz-polarization factor, no thermal factor.

Structural model:
Lattice parameters (Å, degrees): 4.233 4.233 14.197 90.00 90.00 90.00
Atoms (fractional coordinates):
Ba (0.000, 0.000, 0.000)
Dy (0.000, 0.000, 0.379)
Dy (0.000, 0.000, 0.621)
Al (0.500, 0.500, 0.107)
Al (0.500, 0.500, 0.500)
Al (0.500, 0.500, 0.893)
Zn (0.000, 0.500, 0.212)
Zn (0.000, 0.500, 0.788)
Zn (0.500, 0.000, 0.212)
Zn (0.500, 0.000, 0.788)
Zn (0.500, 0.500, 0.318)
Zn (0.500, 0.500, 0.682)

Most intense lines, 2θ from 15° to 90°, sorted by position:
2theta	I_rel
20.99	24
24.49	28
28.29	31
29.85	31
32.47	40
35.49	100
38.17	73
39.38	30
42.73	72
58.61	43
62.02	23
73.54	23


[7]
Diffraction record for BaErAl3SiN4O3. The X-ray powder pattern is theoretical, not measured: it uses a crystal structure in Alexandria, relaxed with GGA-PBE and Cu Kα, 1.54184 Å.
Kinematic intensities with the Lorentz-polarization factor, no thermal factor.

Structural model:
Lattice parameters (Å, degrees): 6.143 6.143 10.142 90.00 90.00 120.00
Atoms (fractional coordinates):
Ba (0.333, 0.667, 0.000)
Ba (0.667, 0.333, 0.500)
Er (0.333, 0.667, 0.386)
Er (0.667, 0.333, 0.886)
Al (0.165, 0.331, 0.686)
Al (0.165, 0.835, 0.686)
Al (0.331, 0.165, 0.186)
Al (0.669, 0.835, 0.686)
Al (0.835, 0.165, 0.186)
Al (0.835, 0.669, 0.186)
Si (0.000, 0.000, 0.450)
Si (0.000, 0.000, 0.950)
N (0.000, 0.000, 0.268)
N (0.000, 0.000, 0.768)
N (0.154, 0.308, 0.505)
N (0.154, 0.846, 0.505)
N (0.308, 0.154, 0.005)
N (0.692, 0.846, 0.505)
N (0.846, 0.154, 0.005)
N (0.846, 0.692, 0.005)
O (0.022, 0.511, 0.743)
O (0.489, 0.511, 0.743)
O (0.489, 0.978, 0.743)
O (0.511, 0.022, 0.243)
O (0.511, 0.489, 0.243)
O (0.978, 0.489, 0.243)

Most intense lines, 2θ from 15° to 90°, sorted by position:
2theta	I_rel
16.66	32
17.49	25
18.84	26
29.07	79
31.35	96
34.13	100
34.87	37
52.98	41
54.84	26
57.11	38
60.26	29
65.36	25


[8]
Diffraction record for BaErAlTe4. The X-ray powder pattern is theoretical, not measured: it uses a crystal structure in Alexandria, relaxed with GGA-PBE and Cu Kα, 1.54184 Å.
Kinematic intensities with the Lorentz-polarization factor, no thermal factor.

Structural model:
Lattice parameters (Å, degrees): 7.266 7.672 9.254 90.00 107.32 90.00
Atoms (fractional coordinates):
Ba (0.223, 0.250, 0.052)
Ba (0.777, 0.750, 0.948)
Er (0.231, 0.250, 0.558)
Er (0.769, 0.750, 0.442)
Al (0.232, 0.750, 0.329)
Al (0.768, 0.250, 0.671)
Te (0.015, 0.510, 0.716)
Te (0.015, 0.990, 0.716)
Te (0.428, 0.750, 0.136)
Te (0.459, 0.750, 0.601)
Te (0.541, 0.250, 0.399)
Te (0.572, 0.250, 0.864)
Te (0.985, 0.010, 0.284)
Te (0.985, 0.490, 0.284)

Most intense lines, 2θ from 15° to 90°, sorted by position:
2theta	I_rel
17.23	47
23.19	41
26.55	100
26.97	66
27.57	60
29.42	98
29.97	84
30.87	76
31.05	80
38.94	44
45.82	46
47.40	36